# 1
Sr6Co5O15: theoretical XRD peak list (copper Kα), based on a cell relaxed with GGA+U.
Intensities are scaled so that the largest is 100.

Top 10 peaks for 2θ from 10° to 90°, by intensity:
2θ (°)  d [Å]  I_rel
32.32  2.770  100.0
28.49  3.133  85.9
43.62  2.075  50.8
55.32  1.661  19.3
46.64  1.948  18.1
57.65  1.599  16.7
55.43  1.658  16.2
67.65  1.385  15.9
61.31  1.512  14.1
75.02  1.266  13.0

Structural model:
Cell lengths 6.914, 6.914, 6.914 Å; angles 87.87, 87.87, 87.87 degrees
Positions (direct):
1 Sr 0.000 0.361 0.639
2 Sr 0.178 0.822 0.500
3 Sr 0.361 0.639 0.000
4 Sr 0.500 0.178 0.822
5 Sr 0.639 0.000 0.361
6 Sr 0.822 0.500 0.178
7 Co 0.000 0.000 0.000
8 Co 0.206 0.206 0.206
9 Co 0.405 0.405 0.405
10 Co 0.595 0.595 0.595
11 Co 0.794 0.794 0.794
12 O 0.055 0.765 0.867
13 O 0.133 0.235 0.945
14 O 0.159 0.470 0.296
15 O 0.235 0.945 0.133
16 O 0.296 0.159 0.470
17 O 0.343 0.500 0.657
18 O 0.470 0.296 0.159
19 O 0.500 0.657 0.343
20 O 0.530 0.841 0.704
21 O 0.657 0.343 0.500
22 O 0.704 0.530 0.841
23 O 0.765 0.867 0.055
24 O 0.841 0.704 0.530
25 O 0.867 0.055 0.765
26 O 0.945 0.133 0.235

---

# 2
SrCo4O8: theoretical XRD peak list (copper Kα), based on a cell relaxed with GGA+U.
Intensities are scaled so that the largest is 100.

Top 10 peaks for 2θ from 10° to 90°, by intensity:
2θ (°)  d [Å]  I_rel
14.03  6.312  100.0
47.55  1.912  45.3
37.41  2.404  25.0
28.28  3.156  22.0
46.87  1.939  21.2
23.26  3.825  18.9
37.29  2.411  17.8
18.45  4.808  17.3
71.52  1.319  10.1
22.94  3.877  9.7

Structural model:
Cell lengths 5.634, 5.634, 12.624 Å; angles 90.04, 90.04, 58.58 degrees
Positions (direct):
1 Sr 0.000 0.000 0.000
2 Sr 0.000 0.000 0.500
3 Co 0.028 0.028 0.250
4 Co 0.028 0.523 0.250
5 Co 0.477 0.972 0.750
6 Co 0.487 0.487 0.750
7 Co 0.513 0.513 0.250
8 Co 0.523 0.028 0.250
9 Co 0.972 0.477 0.750
10 Co 0.972 0.972 0.750
11 O 0.152 0.670 0.657
12 O 0.152 0.670 0.843
13 O 0.164 0.164 0.658
14 O 0.164 0.164 0.842
15 O 0.330 0.848 0.157
16 O 0.330 0.848 0.343
17 O 0.337 0.337 0.158
18 O 0.337 0.337 0.341
19 O 0.663 0.663 0.659
20 O 0.663 0.663 0.842
21 O 0.670 0.152 0.657
22 O 0.670 0.152 0.843
23 O 0.836 0.836 0.158
24 O 0.836 0.836 0.342
25 O 0.848 0.330 0.157
26 O 0.848 0.330 0.343

---

# 3
SrCo6O11: theoretical XRD peak list (copper Kα), based on a cell relaxed with GGA+U.
Intensities are scaled so that the largest is 100.

Top 10 peaks for 2θ from 10° to 90°, by intensity:
2θ (°)  d [Å]  I_rel
34.77  2.580  100.0
33.46  2.678  97.1
57.32  1.607  73.6
57.63  1.600  56.2
39.50  2.282  55.8
31.74  2.819  46.1
66.31  1.410  43.2
27.85  3.203  29.2
42.66  2.120  28.9
58.51  1.578  20.3

Structural model:
Cell lengths 5.639, 5.639, 12.813 Å; angles 90.00, 90.00, 120.00 degrees
Positions (direct):
1 Sr 0.333 0.667 0.250
2 Sr 0.667 0.333 0.750
3 Co 0.000 0.000 0.149
4 Co 0.000 0.000 0.351
5 Co 0.000 0.000 0.649
6 Co 0.000 0.000 0.851
7 Co 0.000 0.500 0.000
8 Co 0.000 0.500 0.500
9 Co 0.333 0.667 0.750
10 Co 0.500 0.000 0.000
11 Co 0.500 0.000 0.500
12 Co 0.500 0.500 0.000
13 Co 0.500 0.500 0.500
14 Co 0.667 0.333 0.250
15 O 0.143 0.287 0.750
16 O 0.143 0.857 0.750
17 O 0.176 0.351 0.079
18 O 0.176 0.351 0.421
19 O 0.176 0.824 0.079
20 O 0.176 0.824 0.421
21 O 0.287 0.143 0.250
22 O 0.333 0.667 0.578
23 O 0.333 0.667 0.922
24 O 0.351 0.176 0.579
25 O 0.351 0.176 0.921
26 O 0.649 0.824 0.079
27 O 0.649 0.824 0.421
28 O 0.667 0.333 0.078
29 O 0.667 0.333 0.422
30 O 0.713 0.857 0.750
31 O 0.824 0.176 0.579
32 O 0.824 0.176 0.921
33 O 0.824 0.649 0.579
34 O 0.824 0.649 0.921
35 O 0.857 0.143 0.250
36 O 0.857 0.713 0.250

---

# 4
Sr3TaCoO7: theoretical XRD peak list (copper Kα), based on a cell relaxed with GGA+U.
Intensities are scaled so that the largest is 100.

Top 10 peaks for 2θ from 10° to 90°, by intensity:
2θ (°)  d [Å]  I_rel
30.69  2.913  100.0
32.43  2.761  59.6
56.77  1.622  37.9
46.53  1.952  31.4
25.89  3.442  23.0
53.44  1.715  17.6
41.26  2.188  15.7
63.91  1.457  15.0
16.21  5.470  14.8
46.76  1.943  11.5

Structural model:
Cell lengths 5.521, 5.521, 11.282 Å; angles 90.00, 104.16, 90.01 degrees
Positions (direct):
1 Sr 0.000 0.000 0.000
2 Sr 0.124 0.500 0.249
3 Sr 0.289 0.500 0.577
4 Sr 0.500 0.500 0.000
5 Sr 0.625 0.000 0.249
6 Sr 0.788 0.000 0.577
7 Ta 0.403 0.000 0.805
8 Ta 0.903 0.500 0.805
9 Co 0.200 0.000 0.400
10 Co 0.700 0.500 0.400
11 O 0.000 0.500 0.996
12 O 0.102 0.195 0.811
13 O 0.107 0.000 0.216
14 O 0.210 0.695 0.811
15 O 0.316 0.001 0.630
16 O 0.449 0.238 0.418
17 O 0.469 0.738 0.418
18 O 0.497 0.998 0.996
19 O 0.603 0.303 0.813
20 O 0.609 0.500 0.216
21 O 0.710 0.803 0.812
22 O 0.814 0.499 0.630
23 O 0.950 0.261 0.418
24 O 0.969 0.761 0.419

---

# 5
Sr3TaCoO7: theoretical XRD peak list (copper Kα), based on a cell relaxed with GGA+U.
Intensities are scaled so that the largest is 100.

Top 10 peaks for 2θ from 10° to 90°, by intensity:
2θ (°)  d [Å]  I_rel
30.61  2.921  100.0
32.00  2.797  58.5
56.17  1.638  36.8
45.88  1.978  33.2
25.68  3.469  22.6
53.52  1.712  16.6
16.37  5.414  15.1
63.73  1.460  15.1
41.71  2.165  14.5
22.85  3.891  11.6

Structural model:
Cell lengths 22.013, 22.013, 22.013 Å; angles 165.40, 165.40, 20.70 degrees
Positions (direct):
1 Sr 0.000 0.000 0.000
2 Sr 0.082 0.082 0.000
3 Sr 0.188 0.188 0.000
4 Sr 0.250 0.750 0.500
5 Sr 0.332 0.832 0.500
6 Sr 0.438 0.938 0.500
7 Sr 0.500 0.500 0.000
8 Sr 0.582 0.582 0.000
9 Sr 0.688 0.688 0.000
10 Sr 0.750 0.250 0.500
11 Sr 0.832 0.332 0.500
12 Sr 0.938 0.438 0.500
13 Ta 0.141 0.641 0.500
14 Ta 0.391 0.391 0.000
15 Ta 0.641 0.141 0.500
16 Ta 0.891 0.891 0.000
17 Co 0.038 0.538 0.500
18 Co 0.288 0.288 0.000
19 Co 0.538 0.038 0.500
20 Co 0.788 0.788 0.000
21 O 0.029 0.558 0.000
22 O 0.058 0.058 0.528
23 O 0.097 0.597 0.500
24 O 0.144 0.144 0.500
25 O 0.144 0.644 0.001
26 O 0.190 0.690 0.500
27 O 0.242 0.242 0.000
28 O 0.279 0.308 0.500
29 O 0.308 0.808 0.028
30 O 0.347 0.347 0.000
31 O 0.394 0.394 0.499
32 O 0.394 0.894 0.000
33 O 0.440 0.440 0.000
34 O 0.492 0.992 0.500
35 O 0.529 0.529 0.472
36 O 0.558 0.029 0.000
37 O 0.597 0.097 0.500
38 O 0.644 0.144 0.999
39 O 0.644 0.644 0.500
40 O 0.690 0.190 0.500
41 O 0.742 0.742 0.000
42 O 0.779 0.279 0.972
43 O 0.808 0.779 0.500
44 O 0.847 0.847 0.000
45 O 0.894 0.394 0.000
46 O 0.894 0.894 0.501
47 O 0.940 0.940 0.000
48 O 0.992 0.492 0.500